Diffraction record for TbDy5Sc. The powder X-ray diffraction pattern is theoretical, not measured: it uses a structure optimized by DFT (GGA-PBE) and λ = 1.5418 Å (Cu Kα).

Cell and atoms:
Lattice parameters (Å, degrees): 9.1928 7.5056 12.8399 90.00 90.09 90.00
Space group C2/c (No. 15)
Asymmetric unit:
Tb (0.0000, 0.1939, 0.2500)
Dy (0.0000, 0.4022, 0.7500)
Dy (0.2011, 0.1228, 0.6134)
Dy (0.2016, 0.1228, 0.8863)
Sc (0.0000, 0.5000, 0.0000)

Largest 8 diffraction maxima, sorted by position, 15° ≤ 2θ ≤ 90°:
- 2θ = 23.8°, I 258
- 2θ = 31.6°, I 1000
- 2θ = 31.7°, I 654
- 2θ = 31.8°, I 133
- 2θ = 32.3°, I 164
- 2θ = 34.1°, I 645
- 2θ = 37.9°, I 136
- 2θ = 59.6°, I 199